No. 1
For Mg17Al11Au, a GGA-PBE-relaxed structure gives the calculated powder XRD pattern in this record (Cu Kα).
Intensities are scaled so that the largest is 100.

Principal peaks in the range 2θ from 15° to 90°, low angle first:
- 5.247 Å, 16.90 deg, intensity 19.7, hkl 2 0 -1
- 4.283 Å, 20.74 deg, intensity 55.6, hkl 1 3 -1
- 3.711 Å, 23.98 deg, intensity 20.8, hkl 2 2 0
- 3.318 Å, 26.87 deg, intensity 26.2, hkl 1 3 -2
- 2.806 Å, 31.89 deg, intensity 27.4, hkl 3 1 -3
- 2.474 Å, 36.32 deg, intensity 100.0, hkl 4 2 -2
- 2.240 Å, 40.27 deg, intensity 24.3, hkl 3 1 -4
- 2.235 Å, 40.36 deg, intensity 23.9, hkl 3 5 -1
- 2.060 Å, 43.96 deg, intensity 26.4, hkl 1 1 3
- 1.428 Å, 65.34 deg, intensity 19.1, hkl 1 5 -5

Structural model:
```
data_Mg17Al11Au
_chemical_formula_sum 'Mg34 Al22 Au2'
_cell_length_a 10.499
_cell_length_b 14.807
_cell_length_c 9.092
_cell_angle_alpha 90.00
_cell_angle_beta 125.17
_cell_angle_gamma 90.00
_space_group_name_H-M_alt 'C 1 m 1'
_space_group_IT_number 8
_space_group_name_Hall 'C -2y'
loop_
_atom_site_label
_atom_site_type_symbol
_atom_site_fract_x
_atom_site_fract_y
_atom_site_fract_z
Mg1 Mg 0.000 0.000 0.000
Mg2 Mg 0.001 0.000 0.657
Mg3 Mg 0.059 0.342 0.058
Mg4 Mg 0.156 0.500 0.313
Mg5 Mg 0.160 0.156 0.262
Mg6 Mg 0.174 0.172 0.658
Mg7 Mg 0.188 0.500 0.949
Mg8 Mg 0.303 0.301 0.975
Mg9 Mg 0.397 0.000 0.374
Mg10 Mg 0.459 0.141 0.658
Mg11 Mg 0.486 0.199 0.341
Al1 Al 0.003 0.183 0.843
Al2 Al 0.225 0.410 0.658
Al3 Al 0.275 0.093 0.023
Al4 Al 0.318 0.317 0.472
Al5 Al 0.369 0.000 0.838
Al6 Al 0.412 0.408 0.294
Au1 Au 0.192 0.000 0.482
```

No. 2
For La12Pr5Y, a GGA-PBE-relaxed structure gives the calculated powder XRD pattern in this record (Cu Kα).
Intensities are scaled so that the largest is 100.

Principal peaks in the range 2θ from 15° to 90°, low angle first:
- 3.033 Å, 29.45 deg, intensity 100.0, hkl 3 1 0
- 2.637 Å, 33.99 deg, intensity 17.1, hkl 0 2 0
- 2.626 Å, 34.15 deg, intensity 16.9, hkl 3 0 -3
- 2.616 Å, 34.28 deg, intensity 16.7, hkl 3 0 3
- 1.859 Å, 49.00 deg, intensity 24.3, hkl 3 2 3
- 1.853 Å, 49.16 deg, intensity 12.0, hkl 6 0 0
- 1.589 Å, 58.06 deg, intensity 14.6, hkl 3 3 0
- 1.584 Å, 58.27 deg, intensity 14.4, hkl 6 1 -3
- 1.579 Å, 58.44 deg, intensity 14.3, hkl 6 1 3
- 1.516 Å, 61.12 deg, intensity 12.5, hkl 6 2 0

Structural model:
```
data_La12Pr5Y
_chemical_formula_sum 'La12 Pr5 Y1'
_cell_length_a 11.111
_cell_length_b 5.275
_cell_length_c 11.129
_cell_angle_alpha 90.00
_cell_angle_beta 90.21
_cell_angle_gamma 90.00
_space_group_name_H-M_alt 'P 1 2/m 1'
_space_group_IT_number 10
_space_group_name_Hall '-P 2y'
loop_
_atom_site_label
_atom_site_type_symbol
_atom_site_fract_x
_atom_site_fract_y
_atom_site_fract_z
La1 La 0.000 0.000 0.168
La2 La 0.166 0.500 0.666
La3 La 0.166 0.500 0.999
La4 La 0.332 0.000 0.832
La5 La 0.333 0.000 0.500
La6 La 0.499 0.500 0.667
Pr1 Pr 0.166 0.500 0.334
Pr2 Pr 0.333 0.000 0.167
Pr3 Pr 0.500 0.500 0.000
Y1 Y 0.000 0.000 0.500
```

No. 3
For Pm6Pr2Ho, a GGA-PBE-relaxed structure gives the calculated powder XRD pattern in this record (Cu Kα).
Intensities are scaled so that the largest is 100.

Principal peaks in the range 2θ from 15° to 90°, low angle first:
- 3.150 Å, 28.33 deg, intensity 32.5, hkl 3 3 -1
- 3.120 Å, 28.61 deg, intensity 100.0, hkl 3 1 1
- 3.047 Å, 29.31 deg, intensity 77.4, hkl 2 4 -1
- 2.955 Å, 30.24 deg, intensity 31.6, hkl 4 2 -1
- 2.944 Å, 30.36 deg, intensity 20.6, hkl 1 5 0
- 2.862 Å, 31.26 deg, intensity 30.5, hkl 0 2 2
- 2.695 Å, 33.25 deg, intensity 22.7, hkl 3 3 1
- 2.482 Å, 36.19 deg, intensity 26.9, hkl 1 3 2
- 2.132 Å, 42.40 deg, intensity 23.4, hkl 2 6 1
- 1.613 Å, 57.09 deg, intensity 21.0, hkl 3 3 3

Structural model:
```
data_Pm6Pr2Ho
_chemical_formula_sum 'Pm24 Pr8 Ho4'
_cell_length_a 13.357
_cell_length_b 15.116
_cell_length_c 6.381
_cell_angle_alpha 90.00
_cell_angle_beta 104.28
_cell_angle_gamma 90.00
_space_group_name_H-M_alt 'C 1 2/c 1'
_space_group_IT_number 15
_space_group_name_Hall '-C 2yc'
loop_
_atom_site_label
_atom_site_type_symbol
_atom_site_fract_x
_atom_site_fract_y
_atom_site_fract_z
Pm1 Pm 0.059 0.124 0.018
Pm2 Pm 0.106 0.454 0.936
Pm3 Pm 0.202 0.279 0.727
Pr1 Pr 0.201 0.071 0.601
Ho1 Ho 0.000 0.325 0.250
```

No. 4
For Gd2PtPb, a GGA-PBE-relaxed structure gives the calculated powder XRD pattern in this record (Cu Kα).
Intensities are scaled so that the largest is 100.

Principal peaks in the range 2θ from 15° to 90°, low angle first:
- 3.020 Å, 29.58 deg, intensity 100.0, hkl 1 0 4
- 2.319 Å, 38.83 deg, intensity 39.0, hkl 0 1 8
- 2.090 Å, 43.28 deg, intensity 6.6, hkl 0 0 12
- 1.990 Å, 45.60 deg, intensity 33.4, hkl 1 1 0
- 1.661 Å, 55.29 deg, intensity 17.7, hkl 0 2 4
- 1.510 Å, 61.40 deg, intensity 10.4, hkl 2 0 8
- 1.441 Å, 64.68 deg, intensity 12.2, hkl 1 1 12
- 1.275 Å, 74.39 deg, intensity 14.8, hkl 2 1 4
- 1.203 Å, 79.72 deg, intensity 10.0, hkl 1 2 8
- 1.149 Å, 84.31 deg, intensity 5.9, hkl 3 0 0

Structural model:
```
data_Gd2PtPb
_chemical_formula_sum 'Gd6 Pt3 Pb3'
_cell_length_a 3.9792
_cell_length_b 3.9792
_cell_length_c 25.0834
_cell_angle_alpha 90.00
_cell_angle_beta 90.00
_cell_angle_gamma 120.00
_space_group_name_H-M_alt 'R -3 m'
_space_group_IT_number 166
_space_group_name_Hall '-R 3 2"'
loop_
_atom_site_label
_atom_site_type_symbol
_atom_site_fract_x
_atom_site_fract_y
_atom_site_fract_z
Gd1 Gd 0.0000 0.0000 0.2338
Pt1 Pt 0.0000 0.0000 0.5000
Pb1 Pb 0.0000 0.0000 0.0000
```